Starting from DFT lattice parameters and positions (PBE), the X-ray powder pattern of PaAlZn11 was computed for Cu Kα (weighted mean of Kα1 and Kα2).
Lines closer than 0.1° are merged.

Largest 10 diffraction maxima, sorted by position, 10° ≤ 2θ ≤ 80°:
hkl 0 0 1, d = 6.311 Å, 2θ 14.03, rel. 16; hkl 1 3 -1, d = 3.172 Å, 2θ 28.13, rel. 33; hkl 0 4 1, d = 2.828 Å, 2θ 31.64, rel. 15; hkl 2 0 -1, d = 2.598 Å, 2θ 34.53, rel. 20; hkl 1 3 1, d = 2.590 Å, 2θ 34.63, rel. 31; hkl 1 3 -2, d = 2.580 Å, 2θ 34.78, rel. 20; hkl 2 2 0, d = 2.250 Å, 2θ 40.07, rel. 30; hkl 2 2 -2, d = 2.241 Å, 2θ 40.25, rel. 100; hkl 0 4 2, d = 2.235 Å, 2θ 40.36, rel. 44; hkl 1 1 -3, d = 2.228 Å, 2θ 40.48, rel. 28

Cell and atoms:
```
data_PaAlZn11
_chemical_formula_sum 'Pa2 Al2 Zn22'
_cell_length_a 5.1951
_cell_length_b 12.6701
_cell_length_c 6.8056
_cell_angle_alpha 90.00
_cell_angle_beta 112.07
_cell_angle_gamma 90.00
_symmetry_space_group_name_H-M 'C 1 2/m 1'
_symmetry_Int_Tables_number 12
_symmetry_space_group_name_Hall '-C 2y'
loop_
_atom_site_label
_atom_site_type_symbol
_atom_site_fract_x
_atom_site_fract_y
_atom_site_fract_z
_atom_site_occupancy
Pa1 Pa 0.0000 0.0000 0.0000 1
Al1 Al 0.0000 0.0000 0.5000 1
Zn1 Zn 0.0000 0.5000 0.5000 1
Zn2 Zn 0.1050 0.3919 0.2132 1
Zn3 Zn 0.1765 0.1774 0.3533 1
Zn4 Zn 0.2500 0.2500 0.0000 1
```